This entry pairs a crystal structure of Rb2SmRuO6 with its computed powder X-ray diffraction pattern. Radiation: Cu Kα (λ = 1.5418 Å). Structure: DFT lattice parameters and positions (GGA-PBE).
Neutral-atom scattering factors, no anomalous dispersion.

Principal peaks in the range 5 to 70 degrees two-theta, sorted by position:
2θ (°)	d [Å]	I/Imax
15.93	5.563	100.0
21.98	4.043	34.6
27.77	3.212	97.4
34.47	2.602	43.5
35.70	2.515	27.7
41.62	2.170	33.7
44.83	2.022	36.0
53.56	1.711	31.7

Cell lengths 6.4241, 6.4241, 5.8865 Å; angles 90.00, 90.00, 120.00 degrees
Space group P-3m1 (No. 164)
Asymmetric unit:
Rb (0.3333, 0.6667, 0.1162) x2
Sm (0.0000, 0.0000, 0.5000) x1
Ru (0.0000, 0.0000, 0.0000) x1
O (0.1369, 0.2737, 0.7997) x6